Structure and simulated powder X-ray diffraction pattern of Sr3NiPbO6 (DFT lattice parameters and positions (PBE+U); copper Kα).
No peak broadening, texture or thermal motion is included.

Atomic structure:
Cell lengths 6.836, 6.836, 6.836 Å; angles 91.70, 91.70, 91.70 degrees
Positions (direct):
Sr 0.121 0.750 0.379
Sr 0.250 0.621 0.879
Sr 0.379 0.121 0.750
Sr 0.621 0.879 0.250
Sr 0.750 0.379 0.121
Sr 0.879 0.250 0.621
Ni 0.000 0.000 0.000
Ni 0.500 0.500 0.500
Pb 0.250 0.250 0.250
Pb 0.750 0.750 0.750
O 0.041 0.904 0.707
O 0.096 0.293 0.959
O 0.207 0.404 0.541
O 0.293 0.959 0.096
O 0.404 0.541 0.207
O 0.459 0.793 0.596
O 0.541 0.207 0.404
O 0.596 0.459 0.793
O 0.707 0.041 0.904
O 0.793 0.596 0.459
O 0.904 0.707 0.041
O 0.959 0.096 0.293

The 6 most intense peaks (5 to 70 degrees two-theta), in order of rising 2θ:
| 2θ (°) | Rel. int. |
| --- | --- |
| 18.09 | 469 |
| 26.09 | 326 |
| 29.60 | 423 |
| 31.60 | 1000 |
| 37.82 | 360 |
| 42.22 | 406 |